Theoretical XRD peak list
Compound: SiHg4Sb
Radiation: λ = 1.5418 Å (Cu Kα)
Structure: a structure optimized by DFT (PBE)
Kinematic intensities with the Lorentz-polarization factor, no thermal factor.

```
data_SiHg4Sb
_cell_length_a 8.425
_cell_length_b 8.425
_cell_length_c 8.425
_cell_angle_alpha 90.00
_cell_angle_beta 90.00
_cell_angle_gamma 90.00
_symmetry_space_group_name_H-M 'F -4 3 m'
_symmetry_Int_Tables_number 216
_symmetry_space_group_name_Hall 'F -4 2 3'
loop_
_atom_site_label
_atom_site_type_symbol
_atom_site_fract_x
_atom_site_fract_y
_atom_site_fract_z
_atom_site_occupancy
Si1 Si 0.000 0.000 0.000 1
Hg1 Hg 0.125 0.125 0.625 1
Sb1 Sb 0.250 0.250 0.250 1
```

Most intense lines, 2θ from 15° to 90°, low angle first:
| Position (°2θ) | d/Å | I_rel | index |
| --- | --- | --- | --- |
| 18.24 | 4.864 | 56.1 | 1 1 1 |
| 35.33 | 2.540 | 100.0 | 3 1 1 |
| 36.96 | 2.432 | 73.9 | 2 2 2 |
| 42.94 | 2.106 | 24.1 | 4 0 0 |
| 47.01 | 1.933 | 16.2 | 3 3 1 |
| 56.78 | 1.621 | 34.4 | 5 1 1 |
| 62.34 | 1.489 | 34.0 | 4 4 0 |
| 65.55 | 1.424 | 12.2 | 5 3 1 |
| 74.74 | 1.270 | 29.6 | 6 2 2 |
| 89.31 | 1.097 | 23.5 | 5 5 3 |